Diffraction record for Ac3Be2NiO8. The powder XRD pattern is theoretical, not measured: it uses a DFT-relaxed cell (PBE+U, Alexandria) and copper Kα.
Peak positions follow from Bragg's law for the DFT cell and can differ from measured ones.

Structure:
Cell: 5.4268 5.4268 6.8999 Å, 90.00 90.00 120.00°
Space group P-3m1 (No. 164)
Asymmetric unit:
Ac1 0.0000 0.0000 0.0000 [1 per cell]
Ac2 0.3333 0.6667 0.6605 [2 per cell]
Be1 0.3333 0.6667 0.2208 [2 per cell]
Ni1 0.0000 0.0000 0.5000 [1 per cell]
O1 0.1688 0.3375 0.3186 [6 per cell]
O2 0.3333 0.6667 0.9949 [2 per cell]

Main lines, low angle first (10 to 80 degrees two-theta):
(hkl)	two_theta	intensity
1 0 1	22.90	100.0
0 1 2	32.19	72.4
1 1 0	33.01	79.2
0 0 3	39.17	15.5
0 2 1	40.56	38.0
2 0 2	46.77	36.2
1 1 3	52.13	28.7
2 1 1	53.25	23.3
1 2 2	58.44	28.0
3 0 0	58.96	15.4